Theoretical powder X-ray diffraction pattern of Na4MgTaSi2PO12 for Cu Ka, from DFT lattice parameters and positions (PBE).

Structure:
Cell lengths 9.062, 9.062, 9.060 Å; angles 119.75, 119.75, 60.56 degrees
Sites, in units of the cell vectors:
Na1 0.045 0.955 0.500
Na2 0.173 0.689 0.101
Na3 0.276 0.442 0.729
Na4 0.442 0.276 0.229
Na5 0.554 0.795 0.339
Na6 0.689 0.173 0.601
Na7 0.795 0.554 0.839
Na8 0.955 0.045 0.000
Mg1 0.319 0.828 0.965
Mg2 0.828 0.319 0.465
Ta1 0.028 0.529 0.262
Ta2 0.529 0.028 0.762
Si1 0.125 0.216 0.865
Si2 0.216 0.125 0.365
Si3 0.714 0.921 0.160
Si4 0.921 0.714 0.660
P1 0.419 0.632 0.573
P2 0.632 0.419 0.073
O1 0.043 0.152 0.392
O2 0.093 0.742 0.839
O3 0.118 0.402 0.050
O4 0.152 0.043 0.892
O5 0.179 0.315 0.337
O6 0.245 0.624 0.398
O7 0.257 0.940 0.202
O8 0.315 0.179 0.837
O9 0.390 0.655 0.735
O10 0.402 0.118 0.550
O11 0.448 0.809 0.606
O12 0.461 0.574 0.031
O13 0.547 0.881 0.128
O14 0.574 0.461 0.531
O15 0.624 0.245 0.898
O16 0.655 0.390 0.235
O17 0.679 0.949 0.971
O18 0.740 0.903 0.673
O19 0.742 0.093 0.339
O20 0.809 0.448 0.106
O21 0.881 0.547 0.628
O22 0.903 0.740 0.173
O23 0.940 0.257 0.702
O24 0.949 0.679 0.471

Largest 10 diffraction maxima, by intensity, 10° ≤ 2θ ≤ 90°:
31.20 deg, d = 2.867 Å, I 1000
13.78 deg, d = 6.424 Å, I 969
19.60 deg, d = 4.530 Å, I 734
19.49 deg, d = 4.555 Å, I 503
34.05 deg, d = 2.633 Å, I 364
23.95 deg, d = 3.716 Å, I 287
34.20 deg, d = 2.622 Å, I 264
46.94 deg, d = 1.936 Å, I 234
27.73 deg, d = 3.217 Å, I 218
31.02 deg, d = 2.883 Å, I 207

***

Theoretical powder X-ray diffraction pattern of CoI2 for Cu Ka, from DFT lattice parameters and positions (PBE).

Structure:
Cell lengths 3.939, 3.939, 6.667 Å; angles 90.00, 90.00, 120.00 degrees
Sites, in units of the cell vectors:
Co1 0.000 0.000 0.000
I1 0.333 0.667 0.230
I2 0.667 0.333 0.770

Largest 10 diffraction maxima, by intensity, 10° ≤ 2θ ≤ 90°:
29.41 deg, d = 3.037 Å, I 1000
37.73 deg, d = 2.384 Å, I 383
46.09 deg, d = 1.969 Å, I 286
48.92 deg, d = 1.862 Å, I 257
13.28 deg, d = 6.667 Å, I 204
55.63 deg, d = 1.652 Å, I 161
26.74 deg, d = 3.333 Å, I 142
75.04 deg, d = 1.266 Å, I 133
54.09 deg, d = 1.696 Å, I 121
74.60 deg, d = 1.272 Å, I 108

***

Theoretical powder X-ray diffraction pattern of Hg3As for Cu Ka, from DFT lattice parameters and positions (PBE).

Structure:
Cell lengths 6.122, 6.122, 5.984 Å; angles 90.00, 90.00, 120.00 degrees
Sites, in units of the cell vectors:
Hg1 0.167 0.334 0.250
Hg2 0.167 0.833 0.250
Hg3 0.334 0.167 0.750
Hg4 0.666 0.833 0.250
Hg5 0.833 0.167 0.750
Hg6 0.833 0.666 0.750
As1 0.333 0.667 0.750
As2 0.667 0.333 0.250

Largest 10 diffraction maxima, by intensity, 10° ≤ 2θ ≤ 90°:
37.09 deg, d = 2.424 Å, I 1000
29.86 deg, d = 2.992 Å, I 391
57.85 deg, d = 1.594 Å, I 280
68.91 deg, d = 1.363 Å, I 223
33.81 deg, d = 2.651 Å, I 213
45.73 deg, d = 1.984 Å, I 186
60.49 deg, d = 1.531 Å, I 163
73.12 deg, d = 1.294 Å, I 142
22.40 deg, d = 3.968 Å, I 113
88.58 deg, d = 1.104 Å, I 92

***

Theoretical powder X-ray diffraction pattern of RuCl2O for Cu Ka, from DFT lattice parameters and positions (PBE).

Structure:
Cell lengths 6.848, 6.848, 6.848 Å; angles 149.66, 148.71, 44.14 degrees
Sites, in units of the cell vectors:
Ru1 0.000 0.000 0.000
Cl1 0.127 0.627 0.500
Cl2 0.873 0.373 0.500
O1 0.500 0.000 0.500

Largest 10 diffraction maxima, by intensity, 10° ≤ 2θ ≤ 90°:
13.95 deg, d = 6.347 Å, I 1000
25.11 deg, d = 3.547 Å, I 662
32.75 deg, d = 2.735 Å, I 523
45.39 deg, d = 1.998 Å, I 333
43.70 deg, d = 2.072 Å, I 206
37.74 deg, d = 2.384 Å, I 186
25.83 deg, d = 3.449 Å, I 155
60.49 deg, d = 1.531 Å, I 155
57.63 deg, d = 1.599 Å, I 121
56.53 deg, d = 1.628 Å, I 106